# Na2Mo2Se2O11
Calculated X-ray powder pattern, Cu Ka. Input: a cell relaxed with GGA+U.
Peak positions follow from Bragg's law for the DFT cell and can differ from measured ones.

Most intense lines, 10° ≤ 2θ ≤ 90°, low angle first:
two_theta, d [Å], Rel. int.
16.34, 5.426, 75
20.44, 4.344, 34
23.14, 3.844, 28
26.82, 3.324, 66
27.41, 3.253, 31
29.75, 3.003, 100
31.59, 2.833, 36
31.98, 2.799, 25
48.71, 1.869, 21
49.23, 1.851, 19

Crystal structure
a b c (Å): 9.0614 9.0614 9.5272
angles (deg): 112.44 112.44 43.04
Sites, in units of the cell vectors:
Na 0.0000 0.5000 0.5000
Na 0.2381 0.7619 0.7500
Na 0.5000 0.0000 0.0000
Na 0.7619 0.2381 0.2500
Mo 0.1812 0.6127 0.2722
Mo 0.3873 0.8188 0.2278
Mo 0.6127 0.1812 0.7722
Mo 0.8188 0.3873 0.7278
Se 0.0797 0.5843 0.8887
Se 0.4157 0.9203 0.6113
Se 0.5843 0.0797 0.3887
Se 0.9203 0.4157 0.1113
O 0.0319 0.5153 0.2636
O 0.0616 0.1503 0.8078
O 0.1503 0.0616 0.3078
O 0.1813 0.7007 0.4695
O 0.2264 0.4180 0.0242
O 0.2700 0.4842 0.7901
O 0.2993 0.8187 0.0305
O 0.3812 0.6188 0.2500
O 0.4180 0.2264 0.5242
O 0.4842 0.2700 0.2901
O 0.4847 0.9681 0.2364
O 0.5153 0.0319 0.7636
O 0.5158 0.7300 0.7099
O 0.5820 0.7736 0.4758
O 0.6188 0.3812 0.7500
O 0.7007 0.1813 0.9695
O 0.7300 0.5158 0.2099
O 0.7736 0.5820 0.9758
O 0.8187 0.2993 0.5305
O 0.8497 0.9384 0.6922
O 0.9384 0.8497 0.1922
O 0.9681 0.4847 0.7364